[1]
The following is a simulated X-ray powder pattern of AcTlHg4. It was derived from DFT lattice parameters and positions (PBE), using Cu Kα (λ = 1.5418 Å).
Lines closer than 0.1° are merged.

```
data_AcTlHg4
_cell_length_a 8.7727
_cell_length_b 8.7727
_cell_length_c 8.7727
_cell_angle_alpha 90.00
_cell_angle_beta 90.00
_cell_angle_gamma 90.00
_space_group_name_H-M_alt 'F -4 3 m'
_space_group_IT_number 216
_space_group_name_Hall 'F -4 2 3'
loop_
_atom_site_label
_atom_site_type_symbol
_atom_site_fract_x
_atom_site_fract_y
_atom_site_fract_z
Ac1 Ac 0.0000 0.0000 0.0000
Tl1 Tl 0.2500 0.2500 0.7500
Hg1 Hg 0.1250 0.1250 0.3750
```

Peak list (10 most intense, 10 to 80 degrees two-theta, most intense first)
d [Å], intensity, hkl
2.645, 100.0, 3 1 1
2.532, 39.2, 2 2 2
1.688, 35.6, 5 1 1
1.551, 31.1, 4 4 0
3.102, 27.5, 2 2 0
1.323, 16.0, 6 2 2
1.338, 12.5, 5 3 3
1.791, 11.7, 4 2 2
1.387, 5.1, 6 2 0
2.193, 4.5, 4 0 0

[2]
The following is a simulated X-ray powder pattern of Ac2TlHg16. It was derived from DFT lattice parameters and positions (PBE), using Cu Kα (λ = 1.5418 Å).
Lines closer than 0.1° are merged.

```
data_Ac2TlHg16
_cell_length_a 9.7125
_cell_length_b 9.7125
_cell_length_c 19.6261
_cell_angle_alpha 90.00
_cell_angle_beta 90.00
_cell_angle_gamma 120.00
_space_group_name_H-M_alt 'R 3 m'
_space_group_IT_number 160
_space_group_name_Hall 'R 3 -2"'
loop_
_atom_site_label
_atom_site_type_symbol
_atom_site_fract_x
_atom_site_fract_y
_atom_site_fract_z
Ac1 Ac 0.0000 0.0000 0.0000
Ac2 Ac 0.0000 0.0000 0.4117
Tl1 Tl 0.0000 0.0000 0.7966
Hg1 Hg 0.0000 0.0000 0.5952
Hg2 Hg 0.0000 0.2998 0.7045
Hg3 Hg 0.0531 0.5265 0.8224
Hg4 Hg 0.1728 0.3456 0.5455
Hg5 Hg 0.2100 0.4201 0.9238
```

Peak list (10 most intense, 10 to 80 degrees two-theta, most intense first)
d [Å], intensity, hkl
2.870, 100.0, 2 0 5
2.577, 85.4, 0 3 3
3.024, 49.7, 1 2 2
2.276, 26.8, 2 2 3
2.713, 25.0, 1 1 6
2.428, 22.5, 2 2 0
2.804, 20.5, 3 0 0
2.129, 17.7, 3 0 6
1.619, 13.2, 3 3 0
3.193, 12.2, 0 2 4

[3]
The following is a simulated X-ray powder pattern of Ac4Tl3Hg2. It was derived from DFT lattice parameters and positions (PBE), using Cu Kα (λ = 1.5418 Å).
Lines closer than 0.1° are merged.

```
data_Ac4Tl3Hg2
_cell_length_a 5.4974
_cell_length_b 5.4974
_cell_length_c 11.7264
_cell_angle_alpha 90.00
_cell_angle_beta 90.00
_cell_angle_gamma 120.00
_space_group_name_H-M_alt 'P -3 m 1'
_space_group_IT_number 164
_space_group_name_Hall '-P 3 2"'
loop_
_atom_site_label
_atom_site_type_symbol
_atom_site_fract_x
_atom_site_fract_y
_atom_site_fract_z
Ac1 Ac 0.0000 0.0000 0.1625
Ac2 Ac 0.3333 0.6667 0.3846
Tl1 Tl 0.0000 0.0000 0.5000
Tl2 Tl 0.3333 0.6667 0.0470
Hg1 Hg 0.3333 0.6667 0.7118
```

Peak list (10 most intense, 10 to 80 degrees two-theta, most intense first)
d [Å], intensity, hkl
3.021, 100.0, 1 0 3
2.749, 78.6, 1 1 0
1.635, 34.0, 2 1 3
2.033, 33.4, 0 2 3
1.808, 22.5, 0 1 6
1.324, 16.4, 1 2 6
1.587, 15.6, 3 0 0
1.251, 14.3, 1 3 3
1.511, 12.6, 2 0 6
1.374, 9.7, 2 2 0

[4]
The following is a simulated X-ray powder pattern of Ac6TlHg. It was derived from DFT lattice parameters and positions (PBE), using Cu Kα (λ = 1.5418 Å).
Lines closer than 0.1° are merged.

```
data_Ac6TlHg
_cell_length_a 5.7057
_cell_length_b 5.7057
_cell_length_c 19.5252
_cell_angle_alpha 90.00
_cell_angle_beta 90.00
_cell_angle_gamma 90.00
_space_group_name_H-M_alt 'I 4/m m m'
_space_group_IT_number 139
_space_group_name_Hall '-I 4 2'
loop_
_atom_site_label
_atom_site_type_symbol
_atom_site_fract_x
_atom_site_fract_y
_atom_site_fract_z
Ac1 Ac 0.0000 0.0000 0.2494
Ac2 Ac 0.0000 0.5000 0.1075
Tl1 Tl 0.0000 0.0000 0.0000
Hg1 Hg 0.0000 0.0000 0.5000
```

Peak list (10 most intense, 10 to 80 degrees two-theta, most intense first)
d [Å], intensity, hkl
3.110, 100.0, 1 1 4
2.853, 44.1, 2 0 0
1.692, 35.4, 3 1 4
1.855, 17.3, 2 0 8
2.017, 16.8, 2 2 0
1.555, 9.9, 2 2 8
2.441, 9.6, 0 0 8
1.276, 7.8, 4 2 0
1.297, 7.4, 3 3 4
1.426, 5.6, 4 0 0